Calculated X-ray diffraction stick pattern
Compound: Mg14AlCO16
Radiation: Cu Kα (λ = 1.5418 Å)
Structure: a structure optimized by DFT (GGA-PBE)

Top 10 peaks for 2θ from 10° to 80°, by intensity:
41.25 deg, intensity 100.0
43.15 deg, intensity 90.2
42.95 deg, intensity 88.8
61.23 deg, intensity 52.2
61.07 deg, intensity 51.1
62.52 deg, intensity 49.1
77.69 deg, intensity 44.8
36.55 deg, intensity 26.6
72.12 deg, intensity 7.9
74.51 deg, intensity 6.4

Crystal structure
a = 4.193 Å, b = 8.422 Å, c = 8.754 Å
α = 90.00°, β = 90.00°, γ = 90.00°
Atoms (fractional coordinates):
Mg 0.000 0.000 0.000
Mg 0.000 0.241 0.255
Mg 0.000 0.241 0.745
Mg 0.000 0.500 0.500
Mg 0.000 0.759 0.255
Mg 0.000 0.759 0.745
Mg 0.500 0.000 0.253
Mg 0.500 0.000 0.747
Mg 0.500 0.244 0.500
Mg 0.500 0.247 0.000
Mg 0.500 0.500 0.250
Mg 0.500 0.500 0.750
Mg 0.500 0.753 0.000
Mg 0.500 0.756 0.500
Al 0.000 0.500 0.000
C 0.000 0.000 0.500
O 0.000 0.000 0.219
O 0.000 0.000 0.781
O 0.000 0.260 0.500
O 0.000 0.274 0.000
O 0.000 0.500 0.229
O 0.000 0.500 0.771
O 0.000 0.726 0.000
O 0.000 0.740 0.500
O 0.500 0.000 0.000
O 0.500 0.000 0.500
O 0.500 0.251 0.251
O 0.500 0.251 0.749
O 0.500 0.500 0.000
O 0.500 0.500 0.500
O 0.500 0.749 0.251
O 0.500 0.749 0.749


Calculated X-ray diffraction stick pattern
Compound: AgSbTe2
Radiation: Cu Kα (λ = 1.5418 Å)
Structure: a structure optimized by DFT (GGA-PBE)

Top 10 peaks for 2θ from 10° to 80°, by intensity:
28.51 deg, intensity 100.0
29.03 deg, intensity 95.4
41.14 deg, intensity 73.5
29.36 deg, intensity 71.7
51.34 deg, intensity 59.0
41.39 deg, intensity 55.9
41.76 deg, intensity 54.4
74.88 deg, intensity 18.8
75.66 deg, intensity 18.8
67.09 deg, intensity 16.7

Crystal structure
a = 4.389 Å, b = 4.389 Å, c = 42.590 Å
α = 90.02°, β = 90.02°, γ = 88.99°
Atoms (fractional coordinates):
Ag 0.000 0.000 0.000
Ag 0.001 0.001 0.866
Ag 0.499 0.499 0.932
Ag 0.500 0.500 0.203
Ag 0.500 0.500 0.797
Ag 0.501 0.501 0.068
Ag 0.999 0.999 0.134
Sb 0.000 0.000 0.276
Sb 0.000 0.000 0.724
Sb 0.001 0.001 0.574
Sb 0.500 0.500 0.354
Sb 0.500 0.500 0.500
Sb 0.500 0.500 0.646
Sb 0.999 0.999 0.426
Te 0.000 0.000 0.065
Te 0.000 0.000 0.356
Te 0.000 0.000 0.500
Te 0.000 0.000 0.644
Te 0.000 0.000 0.935
Te 0.001 0.001 0.210
Te 0.499 0.499 0.428
Te 0.500 0.500 0.000
Te 0.500 0.500 0.135
Te 0.500 0.500 0.283
Te 0.500 0.500 0.717
Te 0.500 0.500 0.865
Te 0.501 0.501 0.572
Te 0.999 0.999 0.790